Structure and theoretical powder diffractogram of Ce2FeP2O (a DFT-relaxed cell (GGA+U, the Materials Project); Cu Kα (weighted mean of Kα1 and Kα2)).
Kinematic intensities with the Lorentz-polarization factor, no thermal factor.

The 12 most intense peaks (10° ≤ 2θ ≤ 90°), by intensity:
| 2theta | I_rel |
| --- | --- |
| 29.04 | 100 |
| 18.43 | 45 |
| 34.62 | 39 |
| 41.53 | 37 |
| 48.01 | 27 |
| 38.46 | 23 |
| 24.66 | 19 |
| 45.79 | 18 |
| 68.20 | 16 |
| 57.09 | 16 |
| 37.37 | 14 |
| 48.90 | 12 |

Cell and atoms:
a = 3.0749 Å, b = 3.0749 Å, c = 14.4388 Å
α = 90.00°, β = 90.00°, γ = 90.00°
Sites, in units of the cell vectors:
1 Ce 0.0000 0.0000 0.1435
2 Ce 0.0000 0.0000 0.8565
3 Fe 0.0000 0.0000 0.5000
4 P 0.0000 0.0000 0.3365
5 P 0.0000 0.0000 0.6635
6 O 0.0000 0.0000 0.0000



Structure and theoretical powder diffractogram of Rb2Ce2Fe4O11 (a DFT-relaxed cell (GGA+U, the Materials Project); Cu Kα (weighted mean of Kα1 and Kα2)).
Kinematic intensities with the Lorentz-polarization factor, no thermal factor.

The 12 most intense peaks (10° ≤ 2θ ≤ 90°), by intensity:
| 2theta | I_rel |
| --- | --- |
| 31.83 | 100 |
| 32.18 | 51 |
| 57.15 | 44 |
| 56.50 | 19 |
| 39.40 | 18 |
| 45.12 | 17 |
| 46.22 | 17 |
| 11.23 | 13 |
| 46.08 | 12 |
| 66.58 | 10 |
| 22.60 | 8 |
| 76.51 | 8 |

Cell and atoms:
a = 8.8444 Å, b = 8.8444 Å, c = 3.9279 Å
α = 90.00°, β = 90.00°, γ = 125.95°
Sites, in units of the cell vectors:
1 Rb 0.0000 0.5000 0.0000
2 Rb 0.5000 0.0000 0.0000
3 Ce 0.2357 0.2357 0.0000
4 Ce 0.7643 0.7643 0.0000
5 Fe 0.1257 0.8743 0.5000
6 Fe 0.3705 0.6295 0.5000
7 Fe 0.6295 0.3705 0.5000
8 Fe 0.8743 0.1257 0.5000
9 O 0.0000 0.0000 0.5000
10 O 0.1053 0.8947 0.0000
11 O 0.1696 0.3562 0.5000
12 O 0.2501 0.7499 0.5000
13 O 0.3562 0.1696 0.5000
14 O 0.4132 0.5868 0.0000
15 O 0.5868 0.4132 0.0000
16 O 0.6438 0.8304 0.5000
17 O 0.7499 0.2501 0.5000
18 O 0.8304 0.6438 0.5000
19 O 0.8947 0.1053 0.0000



Structure and theoretical powder diffractogram of Ce2Fe2S2O3 (a DFT-relaxed cell (GGA+U, the Materials Project); Cu Kα (weighted mean of Kα1 and Kα2)).
Kinematic intensities with the Lorentz-polarization factor, no thermal factor.

The 12 most intense peaks (10° ≤ 2θ ≤ 90°), by intensity:
| 2theta | I_rel |
| --- | --- |
| 33.42 | 100 |
| 26.61 | 93 |
| 44.78 | 54 |
| 32.85 | 54 |
| 51.89 | 42 |
| 57.01 | 41 |
| 37.30 | 35 |
| 52.85 | 29 |
| 31.25 | 25 |
| 29.97 | 24 |
| 54.82 | 18 |
| 87.88 | 18 |

Cell and atoms:
a = 9.3916 Å, b = 9.3916 Å, c = 9.3916 Å
α = 155.11°, β = 155.11°, γ = 35.49°
Sites, in units of the cell vectors:
1 Ce 0.1826 0.1826 0.0000
2 Ce 0.8174 0.8174 0.0000
3 Fe 0.0000 0.5000 0.5000
4 Fe 0.5000 0.0000 0.5000
5 S 0.4029 0.4029 0.0000
6 S 0.5971 0.5971 0.0000
7 O 0.0000 0.0000 0.0000
8 O 0.2500 0.7500 0.5000
9 O 0.7500 0.2500 0.5000



Structure and theoretical powder diffractogram of Ce2Fe2Se2O3 (a DFT-relaxed cell (GGA+U, the Materials Project); Cu Kα (weighted mean of Kα1 and Kα2)).
Kinematic intensities with the Lorentz-polarization factor, no thermal factor.

The 12 most intense peaks (10° ≤ 2θ ≤ 90°), by intensity:
| 2theta | I_rel |
| --- | --- |
| 32.52 | 100 |
| 44.54 | 33 |
| 56.22 | 33 |
| 26.15 | 28 |
| 36.67 | 24 |
| 31.09 | 22 |
| 50.27 | 16 |
| 74.42 | 11 |
| 64.82 | 10 |
| 68.08 | 10 |
| 52.39 | 9 |
| 49.21 | 8 |

Cell and atoms:
a = 9.7900 Å, b = 9.7900 Å, c = 9.7900 Å
α = 156.02°, β = 156.02°, γ = 34.18°
Sites, in units of the cell vectors:
1 Ce 0.1858 0.1858 0.0000
2 Ce 0.8142 0.8142 0.0000
3 Fe 0.0000 0.5000 0.5000
4 Fe 0.5000 0.0000 0.5000
5 Se 0.3996 0.3996 0.0000
6 Se 0.6004 0.6004 0.0000
7 O 0.0000 0.0000 0.0000
8 O 0.2500 0.7500 0.5000
9 O 0.7500 0.2500 0.5000



Structure and theoretical powder diffractogram of Ce2FeSe2O2 (a DFT-relaxed cell (GGA+U, the Materials Project); Cu Kα (weighted mean of Kα1 and Kα2)).
Kinematic intensities with the Lorentz-polarization factor, no thermal factor.

The 12 most intense peaks (10° ≤ 2θ ≤ 90°), by intensity:
| 2theta | I_rel |
| --- | --- |
| 31.90 | 100 |
| 31.04 | 48 |
| 45.73 | 34 |
| 55.75 | 26 |
| 32.74 | 20 |
| 28.26 | 20 |
| 56.30 | 17 |
| 38.23 | 12 |
| 75.81 | 12 |
| 26.67 | 11 |
| 57.91 | 10 |
| 29.67 | 9 |

Cell and atoms:
a = 8.4426 Å, b = 8.4426 Å, c = 17.2901 Å
α = 90.00°, β = 90.00°, γ = 152.82°
Sites, in units of the cell vectors:
1 Ce 0.0739 0.9261 0.5000
2 Ce 0.0745 0.9255 0.8355
3 Ce 0.2288 0.7712 0.0083
4 Ce 0.2317 0.7683 0.3272
5 Ce 0.7683 0.2317 0.8272
6 Ce 0.7712 0.2288 0.5083
7 Ce 0.9261 0.0739 0.0000
8 Ce 0.9255 0.0745 0.3355
9 Fe 0.3671 0.6329 0.1666
10 Fe 0.4118 0.5882 0.6937
11 Fe 0.5882 0.4118 0.1937
12 Fe 0.6329 0.3671 0.6666
13 Se 0.0056 0.9944 0.6655
14 Se 0.2591 0.7409 0.6659
15 Se 0.4204 0.5796 0.8455
16 Se 0.4208 0.5792 0.4840
17 Se 0.5792 0.4208 0.9840
18 Se 0.5796 0.4204 0.3455
19 Se 0.7409 0.2591 0.1659
20 Se 0.9944 0.0056 0.1655
21 O 0.2104 0.7896 0.4615
22 O 0.2112 0.7888 0.8716
23 O 0.3704 0.6296 0.2818
24 O 0.3706 0.6294 0.0518
25 O 0.6294 0.3706 0.5518
26 O 0.6296 0.3704 0.7818
27 O 0.7888 0.2112 0.3716
28 O 0.7896 0.2104 0.9615



Structure and theoretical powder diffractogram of Ce4FeSe6O (a DFT-relaxed cell (GGA+U, the Materials Project); Cu Kα (weighted mean of Kα1 and Kα2)).
Kinematic intensities with the Lorentz-polarization factor, no thermal factor.

The 12 most intense peaks (10° ≤ 2θ ≤ 90°), by intensity:
| 2theta | I_rel |
| --- | --- |
| 33.43 | 100 |
| 35.11 | 64 |
| 37.91 | 62 |
| 31.44 | 61 |
| 25.05 | 57 |
| 44.29 | 30 |
| 38.57 | 24 |
| 46.01 | 19 |
| 63.12 | 19 |
| 25.19 | 16 |
| 73.11 | 16 |
| 52.63 | 16 |

Cell and atoms:
a = 9.4944 Å, b = 9.4944 Å, c = 7.0719 Å
α = 90.00°, β = 90.00°, γ = 120.00°
Sites, in units of the cell vectors:
1 Ce 0.1974 0.3947 0.0000
2 Ce 0.1974 0.8026 0.0000
3 Ce 0.3333 0.6667 0.4428
4 Ce 0.3947 0.1974 0.5000
5 Ce 0.6053 0.8026 0.0000
6 Ce 0.6667 0.3333 0.9428
7 Ce 0.8026 0.1974 0.5000
8 Ce 0.8026 0.6053 0.5000
9 Fe 0.0000 0.0000 0.1575
10 Fe 0.0000 0.0000 0.6575
11 Se 0.0599 0.5299 0.7133
12 Se 0.1290 0.2580 0.3931
13 Se 0.1290 0.8710 0.3931
14 Se 0.2580 0.1290 0.8931
15 Se 0.4701 0.5299 0.7133
16 Se 0.4701 0.9401 0.7133
17 Se 0.5299 0.0599 0.2133
18 Se 0.5299 0.4701 0.2133
19 Se 0.7420 0.8710 0.3931
20 Se 0.8710 0.1290 0.8931
21 Se 0.8710 0.7420 0.8931
22 Se 0.9401 0.4701 0.2133
23 O 0.3333 0.6667 0.1095
24 O 0.6667 0.3333 0.6095



Structure and theoretical powder diffractogram of Ce2FeSe2O2 (a DFT-relaxed cell (GGA+U, the Materials Project); Cu Kα (weighted mean of Kα1 and Kα2)).
Kinematic intensities with the Lorentz-polarization factor, no thermal factor.

The 12 most intense peaks (10° ≤ 2θ ≤ 90°), by intensity:
| 2theta | I_rel |
| --- | --- |
| 31.01 | 100 |
| 36.10 | 64 |
| 31.62 | 56 |
| 35.92 | 30 |
| 29.32 | 28 |
| 46.32 | 27 |
| 57.18 | 26 |
| 25.96 | 23 |
| 52.47 | 20 |
| 38.01 | 17 |
| 62.49 | 14 |
| 56.03 | 14 |

Cell and atoms:
a = 11.4404 Å, b = 3.9200 Å, c = 7.1585 Å
α = 90.00°, β = 121.68°, γ = 90.00°
Sites, in units of the cell vectors:
1 Ce 0.1911 0.0000 0.2418
2 Ce 0.3089 0.5000 0.7582
3 Ce 0.6911 0.5000 0.2418
4 Ce 0.8089 0.0000 0.7582
5 Fe 0.0000 0.0000 0.5000
6 Fe 0.5000 0.5000 0.5000
7 Se 0.0602 0.5000 0.8238
8 Se 0.4398 0.0000 0.1762
9 Se 0.5602 0.0000 0.8238
10 Se 0.9398 0.5000 0.1762
11 O 0.1976 0.0000 0.5808
12 O 0.3024 0.5000 0.4192
13 O 0.6976 0.5000 0.5808
14 O 0.8024 0.0000 0.4192



Structure and theoretical powder diffractogram of Ce2VFeO6 (a DFT-relaxed cell (GGA+U, the Materials Project); Cu Kα (weighted mean of Kα1 and Kα2)).
Kinematic intensities with the Lorentz-polarization factor, no thermal factor.

The 12 most intense peaks (10° ≤ 2θ ≤ 90°), by intensity:
| 2theta | I_rel |
| --- | --- |
| 31.82 | 100 |
| 32.30 | 99 |
| 32.82 | 81 |
| 58.58 | 34 |
| 30.71 | 34 |
| 22.32 | 33 |
| 45.56 | 31 |
| 46.40 | 29 |
| 24.94 | 27 |
| 25.24 | 27 |
| 22.72 | 26 |
| 57.66 | 23 |

Cell and atoms:
a = 5.4590 Å, b = 5.8235 Å, c = 9.4545 Å
α = 90.00°, β = 124.11°, γ = 90.00°
Sites, in units of the cell vectors:
1 Ce 0.2276 0.0756 0.2484
2 Ce 0.2276 0.4244 0.7484
3 Ce 0.7724 0.5756 0.2516
4 Ce 0.7724 0.9244 0.7516
5 V 0.5000 0.0000 0.0000
6 V 0.5000 0.5000 0.5000
7 Fe 0.0000 0.0000 0.5000
8 Fe 0.0000 0.5000 0.0000
9 O 0.1396 0.1789 0.9406
10 O 0.1396 0.3211 0.4406
11 O 0.2577 0.6981 0.9362
12 O 0.2577 0.8019 0.4362
13 O 0.3759 0.0438 0.7519
14 O 0.3759 0.4562 0.2519
15 O 0.6241 0.5438 0.7481
16 O 0.6241 0.9562 0.2481
17 O 0.7423 0.1981 0.5638
18 O 0.7423 0.3019 0.0638
19 O 0.8604 0.6789 0.5594
20 O 0.8604 0.8211 0.0594